No. 1
Starting from a structure optimized by DFT (GGA-PBE), the powder XRD pattern of RbInGa2Sn2 was calculated for Cu Kα (weighted mean of Kα1 and Kα2).
Intensities are scaled so that the largest is 100.

Atomic structure:
```
RbInGa2Sn2
1.0
4.625 0.000 0.000
-2.313 4.005 0.000
0.000 0.000 10.350
Rb In Ga Sn
1 1 2 2
Cartesian
0.000 0.000 0.000 Rb
0.000 0.000 5.175 In
0.000 2.670 7.688 Ga
2.313 1.335 2.662 Ga
0.000 2.670 3.118 Sn
2.313 1.335 7.232 Sn
```

Main lines, most intense first (10 to 90 degrees two-theta):
- 28.2°, I = 100
- 38.9°, I = 48
- 48.8°, I = 22
- 53.1°, I = 19
- 64.1°, I = 19
- 34.7°, I = 11
- 58.2°, I = 10
- 41.6°, I = 10
- 70.5°, I = 8
- 34.3°, I = 8
- 60.0°, I = 7
- 72.3°, I = 7

No. 2
Starting from a structure optimized by DFT (GGA-PBE), the powder XRD pattern of MoI2NCl was calculated for Cu Kα (weighted mean of Kα1 and Kα2).
Intensities are scaled so that the largest is 100.

Atomic structure:
```
MoI2NCl
1.0
5.579 0.000 0.000
0.000 5.579 0.000
0.000 0.000 3.821
Mo I N Cl
1 2 1 1
Cartesian
0.000 0.000 0.000 Mo
0.000 2.790 0.000 I
2.790 0.000 0.000 I
0.000 0.000 1.910 N
2.790 2.790 1.910 Cl
```

Main lines, most intense first (10 to 90 degrees two-theta):
- 32.1°, I = 100
- 23.3°, I = 63
- 40.0°, I = 62
- 32.6°, I = 49
- 46.0°, I = 35
- 58.6°, I = 33
- 52.2°, I = 29
- 28.3°, I = 26
- 68.4°, I = 21
- 15.9°, I = 20
- 57.5°, I = 18
- 81.1°, I = 16

No. 3
Starting from a structure optimized by DFT (GGA-PBE), the powder XRD pattern of Sr8Ga3N8 was calculated for Cu Kα (weighted mean of Kα1 and Kα2).
Intensities are scaled so that the largest is 100.

Atomic structure:
```
Sr8Ga3N8
1.0
9.554 -2.688 0.000
9.554 2.688 0.000
-2.249 0.000 7.391
Sr Ga N
8 3 8
Cartesian
0.123 0.000 1.871 Sr
1.913 0.000 6.012 Sr
5.052 0.000 3.810 Sr
7.574 0.000 0.397 Sr
9.284 0.000 6.994 Sr
11.807 0.000 3.581 Sr
14.946 0.000 1.379 Sr
16.736 0.000 5.520 Sr
3.160 0.000 1.498 Ga
8.429 0.000 3.696 Ga
13.699 0.000 5.893 Ga
-0.289 0.000 7.373 N
2.431 0.000 3.262 N
5.085 0.000 1.229 N
7.452 0.000 5.225 N
9.407 0.000 2.166 N
11.774 0.000 6.162 N
14.428 0.000 4.129 N
17.148 0.000 0.018 N
```

Main lines, most intense first (10 to 90 degrees two-theta):
- 33.3°, I = 100
- 29.1°, I = 80
- 30.9°, I = 62
- 28.5°, I = 52
- 29.5°, I = 51
- 52.9°, I = 27
- 27.2°, I = 26
- 35.0°, I = 24
- 33.5°, I = 23
- 61.2°, I = 20
- 49.1°, I = 19
- 39.8°, I = 19

No. 4
Starting from a structure optimized by DFT (GGA-PBE), the powder XRD pattern of Sr2USi3Pt12 was calculated for Cu Kα (weighted mean of Kα1 and Kα2).
Intensities are scaled so that the largest is 100.

Atomic structure:
```
Sr2USi3Pt12
1.0
4.129 2.384 6.371
-4.129 2.384 6.371
0.000 -4.767 6.371
Sr U Si Pt
2 1 3 12
Cartesian
0.000 0.000 1.915 Sr
0.000 0.000 17.198 Sr
0.000 0.000 9.557 U
-2.064 -1.192 6.371 Si
-2.064 1.192 12.742 Si
0.000 2.384 6.371 Si
-2.150 -1.241 8.765 Pt
0.000 -2.095 5.727 Pt
-1.814 1.047 5.727 Pt
0.000 -2.483 10.349 Pt
-2.150 1.241 10.349 Pt
-1.814 -1.047 13.386 Pt
1.814 1.047 5.727 Pt
2.150 -1.241 8.765 Pt
0.000 2.483 8.765 Pt
1.814 -1.047 13.386 Pt
0.000 2.095 13.386 Pt
2.150 1.241 10.349 Pt
```

Main lines, most intense first (10 to 90 degrees two-theta):
- 31.2°, I = 100
- 43.9°, I = 63
- 45.7°, I = 54
- 22.4°, I = 34
- 34.5°, I = 23
- 38.3°, I = 21
- 54.8°, I = 16
- 65.2°, I = 16
- 81.9°, I = 14
- 72.7°, I = 11
- 75.4°, I = 9
- 26.4°, I = 9